No. 1
# NdTlSb2
Calculated powder diffractogram, Cu Kα. Input: a structure optimized by DFT (PBE).
Kinematic intensities with the Lorentz-polarization factor, no thermal factor.

The 10 most intense peaks (15° ≤ 2θ ≤ 90°), low angle first:
2θ = 32.04°, d 2.793, rel. 100; 2θ = 35.87°, d 2.503, rel. 37; 2θ = 39.64°, d 2.274, rel. 14; 2θ = 51.64°, d 1.770, rel. 13; 2θ = 54.52°, d 1.683, rel. 22; 2θ = 62.07°, d 1.495, rel. 30; 2θ = 67.00°, d 1.397, rel. 12; 2θ = 67.18°, d 1.393, rel. 12; 2θ = 84.90°, d 1.142, rel. 6; 2θ = 89.52°, d 1.095, rel. 11

Crystal structure
```
NdTlSb2
1.0
5.0067 0.0000 0.0000
0.0000 5.0067 0.0000
0.0000 0.0000 4.5471
Nd Tl Sb
1 1 2
direct
0.0000 0.0000 0.0000
0.5000 0.5000 0.0000
0.0000 0.5000 0.5000
0.5000 0.0000 0.5000
```


No. 2
# NdTm2Sb3
Calculated powder diffractogram, Cu Kα. Input: a structure optimized by DFT (PBE).
Kinematic intensities with the Lorentz-polarization factor, no thermal factor.

The 10 most intense peaks (15° ≤ 2θ ≤ 90°), low angle first:
2θ = 28.68°, d 3.113, rel. 100; 2θ = 41.00°, d 2.201, rel. 76; 2θ = 50.80°, d 1.797, rel. 27; 2θ = 59.29°, d 1.559, rel. 4; 2θ = 59.42°, d 1.555, rel. 8; 2θ = 67.22°, d 1.393, rel. 23; 2θ = 67.30°, d 1.391, rel. 11; 2θ = 74.66°, d 1.271, rel. 17; 2θ = 74.74°, d 1.270, rel. 8; 2θ = 88.90°, d 1.101, rel. 7

Crystal structure
```
NdTm2Sb3
1.0
4.4010 0.0000 0.0000
0.0000 6.2344 0.0000
0.0000 0.0000 13.1941
Nd Tm Sb
2 4 6
direct
0.0000 0.0000 0.0000
0.5000 0.5000 0.5000
0.0000 0.0000 0.3354
0.0000 0.0000 0.6646
0.5000 0.5000 0.1646
0.5000 0.5000 0.8354
0.0000 0.5000 0.0000
0.0000 0.5000 0.3265
0.0000 0.5000 0.6735
0.5000 0.0000 0.1735
0.5000 0.0000 0.5000
0.5000 0.0000 0.8265
```


No. 3
# NdTm3Sb4
Calculated powder diffractogram, Cu Kα. Input: a structure optimized by DFT (PBE).
Kinematic intensities with the Lorentz-polarization factor, no thermal factor.

The 10 most intense peaks (15° ≤ 2θ ≤ 90°), low angle first:
2θ = 24.86°, d 3.582, rel. 4; 2θ = 28.78°, d 3.102, rel. 100; 2θ = 41.16°, d 2.193, rel. 76; 2θ = 48.68°, d 1.870, rel. 2; 2θ = 51.00°, d 1.791, rel. 27; 2θ = 59.61°, d 1.551, rel. 13; 2θ = 67.53°, d 1.387, rel. 35; 2θ = 75.00°, d 1.266, rel. 26; 2θ = 89.32°, d 1.097, rel. 7; 2θ = 89.41°, d 1.096, rel. 1

Crystal structure
```
NdTm3Sb4
1.0
8.7674 0.0000 0.0000
0.0000 12.4053 0.0000
0.0000 0.0000 4.3901
Nd Tm Sb
2 6 8
direct
0.0000 0.0000 0.0000
0.5000 0.5000 0.0000
0.0000 0.5000 0.0000
0.2500 0.2500 0.5000
0.2500 0.7500 0.5000
0.5000 0.0000 0.0000
0.7500 0.2500 0.5000
0.7500 0.7500 0.5000
0.0000 0.2541 0.0000
0.0000 0.7459 0.0000
0.2417 0.5000 0.5000
0.2583 0.0000 0.5000
0.5000 0.2459 0.0000
0.5000 0.7541 0.0000
0.7417 0.0000 0.5000
0.7583 0.5000 0.5000
```


No. 4
# Nd2TmSb4
Calculated powder diffractogram, Cu Kα. Input: a structure optimized by DFT (PBE).
Kinematic intensities with the Lorentz-polarization factor, no thermal factor.

The 10 most intense peaks (15° ≤ 2θ ≤ 90°), low angle first:
2θ = 21.82°, d 4.073, rel. 14; 2θ = 25.54°, d 3.487, rel. 39; 2θ = 30.59°, d 2.923, rel. 12; 2θ = 32.93°, d 2.720, rel. 100; 2θ = 37.07°, d 2.425, rel. 27; 2θ = 41.57°, d 2.173, rel. 35; 2θ = 49.43°, d 1.844, rel. 13; 2θ = 56.90°, d 1.618, rel. 16; 2θ = 60.24°, d 1.536, rel. 12; 2θ = 70.39°, d 1.338, rel. 22

Crystal structure
```
Nd2TmSb4
1.0
4.3452 0.0000 0.0000
0.0000 4.3452 0.0000
0.0000 0.0000 11.6918
Nd Tm Sb
2 1 4
direct
0.0000 0.5000 0.2117
0.5000 0.0000 0.7883
0.0000 0.0000 0.5000
0.0000 0.0000 0.0000
0.0000 0.5000 0.6768
0.5000 0.0000 0.3232
0.5000 0.5000 0.0000
```


No. 5
# NdUSb
Calculated powder diffractogram, Cu Kα. Input: a structure optimized by DFT (PBE).
Kinematic intensities with the Lorentz-polarization factor, no thermal factor.

The 10 most intense peaks (15° ≤ 2θ ≤ 90°), low angle first:
2θ = 20.81°, d 4.268, rel. 15; 2θ = 31.53°, d 2.838, rel. 49; 2θ = 32.79°, d 2.731, rel. 96; 2θ = 33.52°, d 2.673, rel. 100; 2θ = 36.07°, d 2.490, rel. 18; 2θ = 37.29°, d 2.411, rel. 27; 2θ = 45.52°, d 1.993, rel. 25; 2θ = 56.43°, d 1.630, rel. 28; 2θ = 57.91°, d 1.592, rel. 16; 2θ = 60.25°, d 1.536, rel. 15

Crystal structure
```
NdUSb
1.0
17.0405 0.0000 0.0000
0.0000 3.9855 0.0000
-0.1950 0.0000 4.8226
Nd U Sb
4 4 4
direct
0.0743 0.0000 0.2522
0.4257 0.5000 0.7478
0.5743 0.5000 0.2522
0.9257 0.0000 0.7478
0.2420 0.5000 0.3275
0.2580 0.0000 0.6725
0.7420 0.0000 0.3275
0.7580 0.5000 0.6725
0.1092 0.5000 0.7643
0.3908 0.0000 0.2357
0.6092 0.0000 0.7643
0.8908 0.5000 0.2357
```


No. 6
# Nd2YSb3
Calculated powder diffractogram, Cu Kα. Input: a structure optimized by DFT (PBE).
Kinematic intensities with the Lorentz-polarization factor, no thermal factor.

The 10 most intense peaks (15° ≤ 2θ ≤ 90°), low angle first:
2θ = 15.45°, d 5.734, rel. 1; 2θ = 27.75°, d 3.215, rel. 1; 2θ = 28.16°, d 3.169, rel. 100; 2θ = 40.24°, d 2.241, rel. 76; 2θ = 49.84°, d 1.830, rel. 27; 2θ = 58.22°, d 1.585, rel. 13; 2θ = 65.90°, d 1.417, rel. 35; 2θ = 73.14°, d 1.294, rel. 25; 2θ = 86.93°, d 1.121, rel. 7; 2θ = 87.02°, d 1.120, rel. 1

Crystal structure
```
Nd2YSb3
1.0
4.4838 0.0000 0.0000
0.0000 6.3407 0.0000
0.0000 0.0000 13.4365
Nd Y Sb
4 2 6
direct
0.0000 0.0000 0.1679
0.0000 0.0000 0.8321
0.5000 0.5000 0.3321
0.5000 0.5000 0.6679
0.0000 0.0000 0.5000
0.5000 0.5000 0.0000
0.0000 0.5000 0.1621
0.0000 0.5000 0.5000
0.0000 0.5000 0.8379
0.5000 0.0000 0.0000
0.5000 0.0000 0.3379
0.5000 0.0000 0.6621
```


No. 7
# Nd5Y2Sb5
Calculated powder diffractogram, Cu Kα. Input: a structure optimized by DFT (PBE).
Kinematic intensities with the Lorentz-polarization factor, no thermal factor.

The 10 most intense peaks (15° ≤ 2θ ≤ 90°), low angle first:
2θ = 22.66°, d 3.924, rel. 36; 2θ = 27.11°, d 3.289, rel. 87; 2θ = 27.91°, d 3.197, rel. 77; 2θ = 28.31°, d 3.152, rel. 72; 2θ = 29.26°, d 3.052, rel. 63; 2θ = 30.60°, d 2.922, rel. 42; 2θ = 31.30°, d 2.858, rel. 65; 2θ = 34.58°, d 2.594, rel. 48; 2θ = 40.47°, d 2.229, rel. 100; 2θ = 41.36°, d 2.183, rel. 44

Crystal structure
```
Nd5Y2Sb5
1.0
7.3187 -2.2274 0.0000
7.3187 2.2274 0.0000
-4.4042 0.0000 12.0944
Nd Y Sb
5 2 5
direct
0.0000 0.0000 0.0000
0.1606 0.1606 0.5392
0.2277 0.2277 0.8464
0.7723 0.7723 0.1536
0.8394 0.8394 0.4608
0.4556 0.4556 0.7113
0.5444 0.5444 0.2887
0.1882 0.1882 0.2892
0.3831 0.3831 0.0748
0.5000 0.5000 0.5000
0.6169 0.6169 0.9252
0.8118 0.8118 0.7108
```


No. 8
# NdY3Sb3
Calculated powder diffractogram, Cu Kα. Input: a structure optimized by DFT (PBE).
Kinematic intensities with the Lorentz-polarization factor, no thermal factor.

The 10 most intense peaks (15° ≤ 2θ ≤ 90°), low angle first:
2θ = 30.42°, d 2.939, rel. 100; 2θ = 36.17°, d 2.483, rel. 64; 2θ = 43.56°, d 2.078, rel. 15; 2θ = 45.80°, d 1.981, rel. 11; 2θ = 47.96°, d 1.897, rel. 13; 2θ = 50.05°, d 1.822, rel. 20; 2θ = 61.52°, d 1.507, rel. 26; 2θ = 63.30°, d 1.469, rel. 10; 2θ = 65.05°, d 1.434, rel. 13; 2θ = 75.13°, d 1.265, rel. 16

Crystal structure
```
NdY3Sb3
1.0
9.2924 0.0000 0.0000
0.0000 9.2924 0.0000
0.0000 0.0000 9.2924
Nd Y Sb
4 12 12
direct
0.0697 0.4303 0.5697
0.4303 0.5697 0.0697
0.5697 0.0697 0.4303
0.9303 0.9303 0.9303
0.0753 0.5753 0.9247
0.1788 0.8212 0.3212
0.1802 0.1802 0.1802
0.3198 0.8198 0.6802
0.3212 0.1788 0.8212
0.4247 0.4247 0.4247
0.5753 0.9247 0.0753
0.6788 0.6788 0.6788
0.6802 0.3198 0.8198
0.8198 0.6802 0.3198
0.8212 0.3212 0.1788
0.9247 0.0753 0.5753
0.0014 0.2558 0.8782
0.1218 0.5014 0.2442
0.2442 0.1218 0.5014
0.2558 0.8782 0.0014
0.3782 0.4986 0.7442
0.4986 0.7442 0.3782
0.5014 0.2442 0.1218
0.6218 0.9986 0.7558
0.7442 0.3782 0.4986
0.7558 0.6218 0.9986
0.8782 0.0014 0.2558
0.9986 0.7558 0.6218
```


No. 9
# Nd4YSb5
Calculated powder diffractogram, Cu Kα. Input: a structure optimized by DFT (PBE).
Kinematic intensities with the Lorentz-polarization factor, no thermal factor.

The 8 most intense peaks (15° ≤ 2θ ≤ 90°), low angle first:
2θ = 28.05°, d 3.181, rel. 100; 2θ = 40.09°, d 2.249, rel. 76; 2θ = 49.64°, d 1.837, rel. 27; 2θ = 57.99°, d 1.591, rel. 13; 2θ = 65.63°, d 1.423, rel. 35; 2θ = 72.83°, d 1.299, rel. 26; 2θ = 86.53°, d 1.125, rel. 7; 2θ = 86.63°, d 1.124, rel. 1

Crystal structure
```
Nd4YSb5
1.0
-2.2510 3.1811 11.2383
2.2510 -3.1811 11.2383
2.2510 3.1811 -11.2383
Nd Y Sb
4 1 5
direct
0.0997 0.0997 0.0000
0.3014 0.3014 0.0000
0.6986 0.6986 0.0000
0.9003 0.9003 0.0000
0.5000 0.5000 0.0000
0.0000 0.5000 0.5000
0.2004 0.7004 0.5000
0.4031 0.9031 0.5000
0.5969 0.0969 0.5000
0.7996 0.2996 0.5000
```


No. 10
# Nd3YSb2
Calculated powder diffractogram, Cu Kα. Input: a structure optimized by DFT (PBE).
Kinematic intensities with the Lorentz-polarization factor, no thermal factor.

The 10 most intense peaks (15° ≤ 2θ ≤ 90°), low angle first:
2θ = 27.51°, d 3.242, rel. 25; 2θ = 28.13°, d 3.172, rel. 24; 2θ = 29.36°, d 3.042, rel. 100; 2θ = 30.52°, d 2.929, rel. 42; 2θ = 34.38°, d 2.609, rel. 95; 2θ = 36.40°, d 2.468, rel. 30; 2θ = 39.30°, d 2.293, rel. 66; 2θ = 50.56°, d 1.805, rel. 41; 2θ = 56.79°, d 1.621, rel. 22; 2θ = 68.10°, d 1.377, rel. 25

Crystal structure
```
Nd3YSb2
1.0
4.5852 0.0000 0.0000
0.0000 4.5852 0.0000
0.0000 0.0000 8.7862
Nd Y Sb
3 1 2
direct
0.0000 0.0000 0.0000
0.0000 0.5000 0.6461
0.5000 0.0000 0.3539
0.5000 0.5000 0.0000
0.0000 0.5000 0.2758
0.5000 0.0000 0.7242
```


No. 11
# Nd3YSb4
Calculated powder diffractogram, Cu Kα. Input: a structure optimized by DFT (PBE).
Kinematic intensities with the Lorentz-polarization factor, no thermal factor.

The 10 most intense peaks (15° ≤ 2θ ≤ 90°), low angle first:
2θ = 19.77°, d 4.491, rel. 1; 2θ = 28.10°, d 3.176, rel. 100; 2θ = 31.50°, d 2.841, rel. 1; 2θ = 34.59°, d 2.593, rel. 1; 2θ = 40.16°, d 2.246, rel. 76; 2θ = 49.73°, d 1.834, rel. 27; 2θ = 58.09°, d 1.588, rel. 13; 2θ = 65.75°, d 1.420, rel. 35; 2θ = 72.97°, d 1.297, rel. 26; 2θ = 86.72°, d 1.123, rel. 8

Crystal structure
```
Nd3YSb4
1.0
6.3516 0.0000 0.0000
0.0000 6.3516 0.0000
0.0000 0.0000 6.3516
Nd Y Sb
3 1 4
direct
0.0000 0.0000 0.5000
0.0000 0.5000 0.0000
0.5000 0.0000 0.0000
0.5000 0.5000 0.5000
0.0000 0.0000 0.0000
0.0000 0.5000 0.5000
0.5000 0.0000 0.5000
0.5000 0.5000 0.0000
```


No. 12
# NdZn2Sb
Calculated powder diffractogram, Cu Kα. Input: a structure optimized by DFT (PBE).
Kinematic intensities with the Lorentz-polarization factor, no thermal factor.

The 10 most intense peaks (15° ≤ 2θ ≤ 90°), low angle first:
2θ = 19.18°, d 4.628, rel. 10; 2θ = 28.34°, d 3.149, rel. 7; 2θ = 34.45°, d 2.603, rel. 100; 2θ = 38.92°, d 2.314, rel. 18; 2θ = 40.51°, d 2.227, rel. 32; 2θ = 57.43°, d 1.604, rel. 22; 2θ = 58.64°, d 1.574, rel. 10; 2θ = 67.62°, d 1.385, rel. 13; 2θ = 69.81°, d 1.347, rel. 24; 2θ = 72.63°, d 1.302, rel. 11

Crystal structure
```
NdZn2Sb
1.0
4.4532 0.0000 0.0000
0.0000 4.4532 0.0000
0.0000 0.0000 4.6282
Nd Zn Sb
1 2 1
direct
0.0000 0.0000 0.0000
0.0000 0.5000 0.5000
0.5000 0.0000 0.5000
0.5000 0.5000 0.0000
```